1.
Starting from a DFT-relaxed cell (GGA-PBE, Alexandria), the powder diffractogram of TaSe2Br was computed for Cu Kα X-rays.
Lines closer than 0.1° are merged.

Main lines, low angle first (10° ≤ 2θ ≤ 90°):
two_theta, I/Imax, (hkl)
14.43, 1000, 0 0 1
15.22, 850, 1 0 0
16.13, 558, 1 0 -1
25.02, 468, 1 0 1
30.06, 766, 1 1 -1
37.05, 387, 1 1 -2

Structure:
a b c (Å): 6.3818 3.5358 6.7271
angles (deg): 90.00 114.16 90.00
Fractional coordinates of all 4 atoms:
Ta: 0.0000 0.0000 0.0000
Se: 0.3474 0.0000 0.2957
Se: 0.7605 0.5000 0.0687
Br: 0.0612 0.5000 0.7294



2.
Starting from a DFT-relaxed cell (GGA-PBE, Alexandria), the powder diffractogram of Ta4Se8Br was computed for Cu Kα X-rays.
Lines closer than 0.1° are merged.

Main lines, low angle first (10° ≤ 2θ ≤ 90°):
two_theta, I/Imax, (hkl)
30.25, 327, 2 0 1
31.46, 352, 2 0 2
35.96, 1000, 2 0 4
42.53, 521, 2 0 6
50.55, 237, 2 0 8
52.96, 324, 2 2 0

Structure:
a b c (Å): 6.9161 6.9161 18.1061
angles (deg): 90.00 90.00 120.00
Fractional coordinates of all 26 atoms:
Ta: 0.0000 0.0000 0.2500
Ta: 0.0000 0.0000 0.7500
Ta: 0.0079 0.5040 0.2500
Ta: 0.4960 0.5040 0.2500
Ta: 0.4960 0.9921 0.2500
Ta: 0.5040 0.0079 0.7500
Ta: 0.5040 0.4960 0.7500
Ta: 0.9921 0.4960 0.7500
Se: 0.1654 0.3309 0.1561
Se: 0.1654 0.3309 0.3439
Se: 0.1654 0.8346 0.1561
Se: 0.1654 0.8346 0.3439
Se: 0.3309 0.1654 0.6561
Se: 0.3309 0.1654 0.8439
Se: 0.3333 0.6667 0.6584
Se: 0.3333 0.6667 0.8416
Se: 0.6667 0.3333 0.1584
Se: 0.6667 0.3333 0.3416
Se: 0.6691 0.8346 0.1561
Se: 0.6691 0.8346 0.3439
Se: 0.8346 0.1654 0.6561
Se: 0.8346 0.1654 0.8439
Se: 0.8346 0.6691 0.6561
Se: 0.8346 0.6691 0.8439
Br: 0.0000 0.0000 0.0000
Br: 0.0000 0.0000 0.5000



3.
Starting from a DFT-relaxed cell (GGA-PBE, Alexandria), the powder diffractogram of Ta3Se8Br6 was computed for Cu Kα X-rays.
Lines closer than 0.1° are merged.

Main lines, low angle first (10° ≤ 2θ ≤ 90°):
two_theta, I/Imax, (hkl)
11.09, 267, 1 0 0
13.77, 1000, 1 1 0
14.09, 157, 0 1 2
16.34, 346, 0 2 0
46.25, 168, 4 1 0
47.78, 151, 2 5 0

Structure:
a b c (Å): 7.9890 11.4465 12.9975
angles (deg): 71.46 87.57 89.36
Fractional coordinates of all 34 atoms:
Ta: 0.0007 0.9995 0.1235
Ta: 0.0009 0.9992 0.3754
Ta: 0.3460 0.5034 0.7469
Ta: 0.6540 0.4966 0.2531
Ta: 0.9993 0.0005 0.8765
Ta: 0.9991 0.0008 0.6246
Se: 0.0271 0.8037 0.0539
Se: 0.0338 0.1951 0.4435
Se: 0.2135 0.8878 0.7684
Se: 0.2193 0.1097 0.7216
Se: 0.2194 0.8881 0.2829
Se: 0.2242 0.1063 0.2063
Se: 0.2550 0.9469 0.0074
Se: 0.2559 0.0487 0.4805
Se: 0.7441 0.9513 0.5195
Se: 0.7450 0.0531 0.9926
Se: 0.7758 0.8937 0.7937
Se: 0.7806 0.1119 0.7171
Se: 0.7807 0.8903 0.2784
Se: 0.7865 0.1122 0.2316
Se: 0.9662 0.8049 0.5565
Se: 0.9729 0.1963 0.9461
Br: 0.0981 0.5862 0.8329
Br: 0.1371 0.4040 0.6551
Br: 0.3389 0.3047 0.9095
Br: 0.3411 0.6989 0.5822
Br: 0.4140 0.5752 0.3407
Br: 0.4579 0.4017 0.1580
Br: 0.5421 0.5983 0.8420
Br: 0.5860 0.4248 0.6593
Br: 0.6589 0.3011 0.4178
Br: 0.6611 0.6953 0.0905
Br: 0.8629 0.5960 0.3449
Br: 0.9019 0.4138 0.1671



4.
Starting from a DFT-relaxed cell (GGA-PBE, Alexandria), the powder diffractogram of TaSe2Br was computed for Cu Kα X-rays.
Lines closer than 0.1° are merged.

Main lines, low angle first (10° ≤ 2θ ≤ 90°):
two_theta, I/Imax, (hkl)
16.46, 1000, 0 1 1
25.74, 338, 1 1 2
31.61, 620, 1 1 3
40.50, 334, 2 2 0
40.69, 530, 1 2 3
49.27, 387, 3 0 3

Structure:
a b c (Å): 6.4278 6.1782 10.9998
angles (deg): 90.00 90.00 90.00
Fractional coordinates of all 16 atoms:
Ta: 0.2500 0.0000 0.0617
Ta: 0.2500 0.5000 0.4383
Ta: 0.7500 0.0000 0.9383
Ta: 0.7500 0.5000 0.5617
Se: 0.0703 0.2398 0.9152
Se: 0.0703 0.2602 0.5848
Se: 0.4297 0.7398 0.5848
Se: 0.4297 0.7602 0.9152
Se: 0.5703 0.2398 0.0848
Se: 0.5703 0.2602 0.4152
Se: 0.9297 0.7398 0.4152
Se: 0.9297 0.7602 0.0848
Br: 0.0946 0.2500 0.2500
Br: 0.4054 0.7500 0.2500
Br: 0.5946 0.2500 0.7500
Br: 0.9054 0.7500 0.7500



5.
Starting from a DFT-relaxed cell (GGA-PBE, Alexandria), the powder diffractogram of TeSeBr3 was computed for Cu Kα X-rays.
Lines closer than 0.1° are merged.

Main lines, low angle first (10° ≤ 2θ ≤ 90°):
two_theta, I/Imax, (hkl)
11.48, 1000, 1 0 0
11.73, 242, 0 1 0
12.94, 740, 0 1 1
26.04, 570, 0 2 2
28.29, 279, 2 1 2
32.14, 336, 1 1 -5

Structure:
a b c (Å): 7.7057 7.5446 16.2261
angles (deg): 90.00 90.30 90.00
Fractional coordinates of all 20 atoms:
Te: 0.0793 0.1348 0.3759
Te: 0.0793 0.8652 0.8759
Te: 0.9207 0.1348 0.1241
Te: 0.9207 0.8652 0.6241
Se: 0.0426 0.4416 0.1828
Se: 0.0426 0.5584 0.6828
Se: 0.9574 0.4416 0.3172
Se: 0.9574 0.5584 0.8172
Br: 0.1136 0.2457 0.9966
Br: 0.1136 0.7543 0.4966
Br: 0.2398 0.0319 0.2326
Br: 0.2398 0.9681 0.7326
Br: 0.3680 0.2318 0.4384
Br: 0.3680 0.7682 0.9384
Br: 0.6320 0.2318 0.0616
Br: 0.6320 0.7682 0.5616
Br: 0.7602 0.0319 0.2674
Br: 0.7602 0.9681 0.7674
Br: 0.8864 0.2457 0.5034
Br: 0.8864 0.7543 0.0034



6.
Starting from a DFT-relaxed cell (GGA-PBE, Alexandria), the powder diffractogram of TeSe4Br4 was computed for Cu Kα X-rays.
Lines closer than 0.1° are merged.

Main lines, low angle first (10° ≤ 2θ ≤ 90°):
two_theta, I/Imax, (hkl)
17.33, 320, 1 1 1
22.07, 890, 2 0 1
24.10, 1000, 1 2 1
30.64, 385, 1 3 0
37.76, 389, 3 1 2
41.51, 452, 3 2 2

Structure:
a b c (Å): 9.2365 9.2365 8.2339
angles (deg): 90.00 90.00 90.00
Fractional coordinates of all 18 atoms:
Te: 0.2500 0.2500 0.2500
Te: 0.7500 0.7500 0.7500
Se: 0.0263 0.3644 0.0617
Se: 0.1356 0.0263 0.4383
Se: 0.3644 0.4737 0.4383
Se: 0.4737 0.1356 0.0617
Se: 0.5263 0.8644 0.9383
Se: 0.6356 0.5263 0.5617
Se: 0.8644 0.9737 0.5617
Se: 0.9737 0.6356 0.9383
Br: 0.0522 0.7965 0.1531
Br: 0.2035 0.5522 0.6531
Br: 0.2965 0.9478 0.6531
Br: 0.4478 0.7035 0.1531
Br: 0.5522 0.2965 0.8469
Br: 0.7035 0.0522 0.3469
Br: 0.7965 0.4478 0.3469
Br: 0.9478 0.2035 0.8469